Entry 1:
Diffraction record for TiH6O2F6. The powder X-ray diffraction pattern is theoretical, not measured: it uses a structure optimized by DFT (GGA-PBE) and λ = 1.5418 Å (Cu Kα).

Most intense lines, 2θ = 5–70°, in order of falling intensity:
| d/Å | Rel. int. |
| --- | --- |
| 3.660 | 100 |
| 4.874 | 80 |
| 2.231 | 62 |
| 5.544 | 40 |
| 2.814 | 31 |
| 1.830 | 27 |

Crystal structure
Cell: 5.627 5.627 5.544 Å, 90.00 90.00 120.00°
Sites, in units of the cell vectors:
Ti 0.000 0.000 0.000
H 0.160 0.492 0.277
H 0.331 0.840 0.277
H 0.492 0.160 0.723
H 0.508 0.669 0.277
H 0.669 0.508 0.723
H 0.840 0.331 0.723
O 0.333 0.667 0.327
O 0.667 0.333 0.673
F 0.086 0.300 0.791
F 0.214 0.914 0.791
F 0.300 0.086 0.209
F 0.700 0.786 0.791
F 0.786 0.700 0.209
F 0.914 0.214 0.209

=====

Entry 2:
Diffraction record for TiZnH12O6F6. The powder X-ray diffraction pattern is theoretical, not measured: it uses a structure optimized by DFT (GGA-PBE) and λ = 1.5418 Å (Cu Kα).

Most intense lines, 2θ = 5–70°, in order of falling intensity:
| d/Å | Rel. int. |
| --- | --- |
| 4.830 | 100 |
| 4.337 | 63 |
| 2.683 | 33 |
| 3.019 | 25 |
| 1.978 | 23 |
| 1.712 | 16 |

Crystal structure
Cell: 6.522 6.522 6.522 Å, 95.56 95.56 95.56°
Sites, in units of the cell vectors:
Ti 0.000 0.000 0.000
Zn 0.500 0.500 0.500
H 0.106 0.288 0.455
H 0.180 0.330 0.696
H 0.288 0.455 0.106
H 0.304 0.820 0.670
H 0.330 0.696 0.180
H 0.455 0.106 0.288
H 0.545 0.894 0.712
H 0.670 0.304 0.820
H 0.696 0.180 0.330
H 0.712 0.545 0.894
H 0.820 0.670 0.304
H 0.894 0.712 0.545
O 0.203 0.376 0.561
O 0.376 0.561 0.203
O 0.439 0.797 0.624
O 0.561 0.203 0.376
O 0.624 0.439 0.797
O 0.797 0.624 0.439
F 0.059 0.866 0.745
F 0.134 0.255 0.941
F 0.255 0.941 0.134
F 0.745 0.059 0.866
F 0.866 0.745 0.059
F 0.941 0.134 0.255

=====

Entry 3:
Diffraction record for TiZnH12O6F6. The powder X-ray diffraction pattern is theoretical, not measured: it uses a structure optimized by DFT (GGA-PBE) and λ = 1.5418 Å (Cu Kα).

Most intense lines, 2θ = 5–70°, in order of falling intensity:
| d/Å | Rel. int. |
| --- | --- |
| 4.695 | 100 |
| 2.586 | 79 |
| 4.123 | 63 |
| 1.888 | 27 |
| 1.775 | 18 |
| 1.641 | 17 |

Crystal structure
Cell: 6.289 6.289 6.289 Å, 96.57 96.57 96.57°
Sites, in units of the cell vectors:
Ti 0.000 0.000 0.000
Zn 0.500 0.500 0.500
H 0.082 0.315 0.441
H 0.193 0.257 0.663
H 0.257 0.663 0.193
H 0.315 0.441 0.082
H 0.337 0.807 0.743
H 0.441 0.082 0.315
H 0.559 0.918 0.685
H 0.663 0.193 0.257
H 0.685 0.559 0.918
H 0.743 0.337 0.807
H 0.807 0.743 0.337
H 0.918 0.685 0.559
O 0.193 0.366 0.564
O 0.366 0.564 0.193
O 0.436 0.807 0.634
O 0.564 0.193 0.366
O 0.634 0.436 0.807
O 0.807 0.634 0.436
F 0.069 0.745 0.847
F 0.153 0.931 0.255
F 0.255 0.153 0.931
F 0.745 0.847 0.069
F 0.847 0.069 0.745
F 0.931 0.255 0.153

=====

Entry 4:
Diffraction record for U3H2OF12. The powder X-ray diffraction pattern is theoretical, not measured: it uses a structure optimized by DFT (GGA-PBE) and λ = 1.5418 Å (Cu Kα).

Most intense lines, 2θ = 5–70°, in order of falling intensity:
| d/Å | Rel. int. |
| --- | --- |
| 3.667 | 100 |
| 4.260 | 87 |
| 4.291 | 85 |
| 2.027 | 85 |
| 4.089 | 73 |
| 2.841 | 68 |

Crystal structure
Cell: 8.547 8.547 8.623 Å, 116.75 116.75 88.39°
Sites, in units of the cell vectors:
U 0.000 0.000 0.000
U 0.091 0.432 0.880
U 0.206 0.582 0.487
U 0.432 0.091 0.880
U 0.582 0.206 0.487
U 0.629 0.629 0.327
H 0.075 0.943 0.356
H 0.624 0.757 0.034
H 0.757 0.624 0.034
H 0.943 0.075 0.356
O 0.677 0.677 0.086
O 0.981 0.981 0.269
F 0.027 0.724 0.955
F 0.061 0.292 0.257
F 0.089 0.553 0.171
F 0.128 0.515 0.672
F 0.189 0.966 0.874
F 0.220 0.877 0.546
F 0.231 0.231 0.733
F 0.292 0.061 0.257
F 0.329 0.329 0.089
F 0.359 0.624 0.077
F 0.411 0.411 0.557
F 0.426 0.783 0.799
F 0.434 0.662 0.443
F 0.515 0.128 0.672
F 0.553 0.089 0.171
F 0.624 0.359 0.077
F 0.626 0.919 0.401
F 0.662 0.434 0.443
F 0.724 0.027 0.955
F 0.783 0.426 0.799
F 0.809 0.809 0.670
F 0.877 0.220 0.546
F 0.919 0.626 0.401
F 0.966 0.189 0.874

=====

Entry 5:
Diffraction record for ZnH8O4F2. The powder X-ray diffraction pattern is theoretical, not measured: it uses a structure optimized by DFT (GGA-PBE) and λ = 1.5418 Å (Cu Kα).

Most intense lines, 2θ = 5–70°, in order of falling intensity:
| d/Å | Rel. int. |
| --- | --- |
| 4.870 | 100 |
| 4.133 | 66 |
| 4.928 | 50 |
| 3.007 | 50 |
| 3.175 | 36 |
| 2.186 | 24 |

Crystal structure
Cell: 12.700 5.347 7.590 Å, 90.00 90.00 90.00°
Sites, in units of the cell vectors:
Zn 0.124 0.205 0.000
Zn 0.376 0.205 0.500
Zn 0.624 0.795 0.000
Zn 0.876 0.795 0.500
H 0.017 0.493 0.237
H 0.076 0.947 0.389
H 0.078 0.931 0.601
H 0.118 0.646 0.179
H 0.140 0.752 0.829
H 0.174 0.386 0.406
H 0.175 0.369 0.616
H 0.233 0.934 0.766
H 0.267 0.934 0.266
H 0.325 0.369 0.116
H 0.326 0.386 0.906
H 0.360 0.752 0.329
H 0.382 0.646 0.679
H 0.422 0.931 0.101
H 0.424 0.947 0.889
H 0.483 0.493 0.737
H 0.517 0.507 0.237
H 0.576 0.053 0.389
H 0.578 0.069 0.601
H 0.618 0.354 0.179
H 0.640 0.248 0.829
H 0.674 0.614 0.406
H 0.675 0.631 0.616
H 0.733 0.066 0.766
H 0.767 0.066 0.266
H 0.825 0.631 0.116
H 0.826 0.614 0.906
H 0.860 0.248 0.329
H 0.882 0.354 0.679
H 0.922 0.069 0.101
H 0.924 0.053 0.889
H 0.983 0.507 0.737
O 0.033 0.917 0.495
O 0.093 0.472 0.203
O 0.157 0.930 0.804
O 0.217 0.336 0.509
O 0.283 0.336 0.009
O 0.343 0.930 0.304
O 0.407 0.472 0.703
O 0.467 0.917 0.995
O 0.533 0.083 0.495
O 0.593 0.528 0.203
O 0.657 0.070 0.804
O 0.717 0.664 0.509
O 0.783 0.664 0.009
O 0.843 0.070 0.304
O 0.907 0.528 0.703
O 0.967 0.083 0.995
F 0.103 0.459 0.796
F 0.150 0.943 0.201
F 0.350 0.943 0.701
F 0.397 0.459 0.296
F 0.603 0.541 0.796
F 0.650 0.057 0.201
F 0.850 0.057 0.701
F 0.897 0.541 0.296